# SrLu3
Calculated X-ray diffraction stick pattern, Cu Ka. Input: a structure optimized by DFT (GGA-PBE).

Peak list (8 most intense, 10° ≤ 2θ ≤ 80°, by angle)
- 28.42°, I = 28.7
- 30.86°, I = 39.6
- 31.80°, I = 57.9
- 32.43°, I = 100.0
- 42.45°, I = 19.6
- 49.46°, I = 19.9
- 55.88°, I = 21.5
- 59.44°, I = 23.0

Structure:
Lattice parameters (Å, degrees): 3.597 5.795 6.438 90.00 90.00 90.00
Atoms (fractional coordinates):
Sr: 0.000 0.000 0.000
Lu: 0.000 0.500 0.659
Lu: 0.500 0.000 0.498
Lu: 0.500 0.500 0.194